For Al2Mo2O7, a PBE+U-relaxed structure gives the simulated X-ray diffraction stick pattern in this record (Cu Kα X-rays).

Crystal structure
abc: 6.5636 6.5700 7.5224
angles: 71.02 71.42 68.81
Space group P1 (No. 1)
Asymmetric unit:
Al 0.0000 0.0000 0.0000 x1
Al 0.0072 0.4885 0.7158 x1
Al 0.1153 0.8749 0.5981 x1
Al 0.5325 0.8739 0.7383 x1
Mo 0.0289 0.3788 0.2605 x1
Mo 0.5570 0.8974 0.2232 x1
Mo 0.5844 0.4385 0.5984 x1
Mo 0.5855 0.4574 0.0858 x1
O 0.1716 0.0361 0.3493 x1
O 0.1849 0.9475 0.7789 x1
O 0.2509 0.5805 0.5982 x1
O 0.3073 0.4305 0.2325 x1
O 0.4611 0.8130 0.0435 x1
O 0.5285 0.1572 0.6975 x1
O 0.5448 0.8030 0.5017 x1
O 0.5547 0.5615 0.8241 x1
O 0.6934 0.1298 0.0617 x1
O 0.7121 0.3798 0.3176 x1
O 0.8557 0.7850 0.7036 x1
O 0.9132 0.7440 0.1511 x1
O 0.9249 0.3878 0.5595 x1
O 0.9969 0.3144 0.9656 x1

Main lines, low angle first (2θ from 15° to 90°):
d 5.100, 17.4 deg, rel. 20
d 4.988, 17.8 deg, rel. 22
d 3.572, 24.9 deg, rel. 49
d 3.462, 25.7 deg, rel. 42
d 2.977, 30.0 deg, rel. 100
d 2.070, 43.7 deg, rel. 28
d 1.878, 48.5 deg, rel. 19
d 1.618, 56.9 deg, rel. 18

=====

For Al2Mo2O7, a PBE+U-relaxed structure gives the simulated X-ray diffraction stick pattern in this record (Cu Kα X-rays).

Crystal structure
abc: 6.6453 6.6724 6.7057
angles: 66.61 66.76 66.31
Space group P-1 (No. 2)
Asymmetric unit:
Al 0.0000 0.0000 0.0000 x1
Al 0.0000 0.0000 0.5000 x1
Al 0.0000 0.5000 0.0000 x1
Al 0.5000 0.0000 0.0000 x1
Mo 0.0000 0.5000 0.5000 x1
Mo 0.5000 0.0000 0.5000 x1
Mo 0.5000 0.5000 0.0000 x1
Mo 0.5000 0.5000 0.5000 x1
O 0.1103 0.1345 0.1270 x2
O 0.1281 0.5607 0.1692 x2
O 0.1618 0.1297 0.5757 x2
O 0.1811 0.6824 0.4947 x2
O 0.3252 0.4900 0.8263 x2
O 0.3884 0.8447 0.8903 x2
O 0.4931 0.8329 0.3168 x2

Main lines, low angle first (2θ from 15° to 90°):
d 5.852, 15.1 deg, rel. 40
d 2.987, 29.9 deg, rel. 15
d 2.955, 30.2 deg, rel. 53
d 2.926, 30.6 deg, rel. 100
d 2.582, 34.7 deg, rel. 32
d 2.457, 36.6 deg, rel. 27
d 1.836, 49.6 deg, rel. 34
d 1.821, 50.1 deg, rel. 19

=====

For Rb5AlMo4O16, a PBE+U-relaxed structure gives the simulated X-ray diffraction stick pattern in this record (Cu Kα X-rays).

Crystal structure
abc: 6.1340 8.8824 10.9318
angles: 69.08 83.18 86.55
Space group P1 (No. 1)
Asymmetric unit:
Rb 0.0000 0.0000 0.0000 x1
Rb 0.0121 0.4986 0.2067 x1
Rb 0.0821 0.5990 0.8384 x1
Rb 0.4453 0.7177 0.2735 x1
Rb 0.5931 0.3572 0.7482 x1
Al 0.6761 0.1437 0.4536 x1
Mo 0.1323 0.1485 0.6187 x1
Mo 0.5505 0.7876 0.9170 x1
Mo 0.5802 0.2405 0.1334 x1
Mo 0.8744 0.7550 0.4586 x1
O 0.0909 0.6891 0.5588 x1
O 0.0987 0.9494 0.7210 x1
O 0.1022 0.2641 0.7211 x1
O 0.2914 0.7400 0.0183 x1
O 0.3282 0.3392 0.0848 x1
O 0.4129 0.1784 0.5296 x1
O 0.5558 0.0338 0.1615 x1
O 0.5731 0.0026 0.8372 x1
O 0.5780 0.6820 0.8028 x1
O 0.6600 0.2690 0.2865 x1
O 0.6848 0.5965 0.4993 x1
O 0.7315 0.9437 0.4683 x1
O 0.7615 0.7156 0.0275 x1
O 0.7908 0.3150 0.0018 x1
O 0.9060 0.2102 0.5081 x1
O 0.9888 0.7860 0.2935 x1

Main lines, low angle first (2θ from 15° to 90°):
d 3.777, 23.6 deg, rel. 100
d 3.752, 23.7 deg, rel. 38
d 3.698, 24.1 deg, rel. 88
d 3.473, 25.7 deg, rel. 59
d 3.398, 26.2 deg, rel. 38
d 3.284, 27.2 deg, rel. 89
d 3.005, 29.7 deg, rel. 40
d 2.955, 30.2 deg, rel. 49

=====

For AlSnMoO6, a PBE+U-relaxed structure gives the simulated X-ray diffraction stick pattern in this record (Cu Kα X-rays).

Crystal structure
abc: 5.0462 5.0462 9.0087
angles: 90.00 90.00 120.00
Space group P-31c (No. 163)
Asymmetric unit:
Al 0.3333 0.6667 0.2500 x2
Sn 0.0000 0.0000 0.0000 x2
Mo 0.3333 0.6667 0.7500 x2
O 0.0114 0.3535 0.1327 x12

Main lines, low angle first (2θ from 15° to 90°):
d 3.932, 22.6 deg, rel. 18
d 3.137, 28.5 deg, rel. 100
d 2.523, 35.6 deg, rel. 32
d 1.966, 46.2 deg, rel. 26
d 1.680, 54.6 deg, rel. 39
d 1.551, 59.6 deg, rel. 25
d 1.457, 63.9 deg, rel. 15
d 1.170, 82.4 deg, rel. 11

=====

For Sr4Al6MoO16, a PBE+U-relaxed structure gives the simulated X-ray diffraction stick pattern in this record (Cu Kα X-rays).

Crystal structure
abc: 9.5024 9.5024 9.6898
angles: 90.00 90.00 90.00
Space group I-4m2 (No. 119)
Asymmetric unit:
Sr 0.2413 0.2413 0.0000 x8
Al 0.0000 0.0000 0.0000 x2
Al 0.0000 0.0000 0.5000 x2
Al 0.0000 0.2482 0.7460 x8
Mo 0.0000 0.5000 0.2500 x2
O 0.0000 0.1537 0.9013 x8
O 0.0000 0.1640 0.5847 x8
O 0.0000 0.3460 0.1412 x8
O 0.1612 0.3388 0.7500 x8

Main lines, low angle first (2θ from 15° to 90°):
d 3.930, 22.6 deg, rel. 50
d 3.892, 22.9 deg, rel. 100
d 3.392, 26.3 deg, rel. 93
d 3.360, 26.5 deg, rel. 38
d 2.761, 32.4 deg, rel. 63
d 2.376, 37.9 deg, rel. 50
d 1.965, 46.2 deg, rel. 33
d 1.946, 46.7 deg, rel. 54

=====

For AlVMoO6, a PBE+U-relaxed structure gives the simulated X-ray diffraction stick pattern in this record (Cu Kα X-rays).

Crystal structure
abc: 4.5324 4.5324 9.1066
angles: 90.00 90.00 90.00
Space group P4_2nm (No. 102)
Asymmetric unit:
Al 0.0000 0.0000 0.0000 x2
V 0.0000 0.0000 0.3347 x2
Mo 0.0000 0.0000 0.6661 x2
O 0.1951 0.1951 0.1622 x4
O 0.1995 0.1995 0.8397 x4
O 0.2012 0.2012 0.4977 x4

Main lines, low angle first (2θ from 15° to 90°):
d 4.058, 21.9 deg, rel. 38
d 3.205, 27.8 deg, rel. 100
d 2.522, 35.6 deg, rel. 61
d 2.204, 41.0 deg, rel. 15
d 1.686, 54.4 deg, rel. 63
d 1.602, 57.5 deg, rel. 18
d 1.372, 68.4 deg, rel. 13
d 1.353, 69.5 deg, rel. 22